Record 1
Structure and computed X-ray powder pattern of Na2TmAgCl6 (the GGA-PBE geometry in the Materials Project; a wavelength of 1.5418 Å).
Kinematic intensities with the Lorentz-polarization factor, no thermal factor.

Atomic structure:
```
data_Na2TmAgCl6
_chemical_formula_sum 'Na8 Tm4 Ag4 Cl24'
_symmetry_space_group_name_H-M 'F m -3 m'
_symmetry_Int_Tables_number 225
_symmetry_space_group_name_Hall '-F 4 2 3'
_cell_length_a 10.565
_cell_length_b 10.565
_cell_length_c 10.565
_cell_angle_alpha 90.00
_cell_angle_beta 90.00
_cell_angle_gamma 90.00
loop_
_atom_site_label
_atom_site_type_symbol
_atom_site_fract_x
_atom_site_fract_y
_atom_site_fract_z
Na1 Na 0.250 0.250 0.250
Tm1 Tm 0.000 0.000 0.000
Ag1 Ag 0.000 0.000 0.500
Cl1 Cl 0.000 0.000 0.244
```

Main lines, sorted by position (2θ from 5° to 70°):
16.78°, rel. 100
23.82°, rel. 60
33.94°, rel. 55
38.09°, rel. 49
41.89°, rel. 28
48.76°, rel. 37



Record 2
Structure and computed X-ray powder pattern of AgCO2 (the GGA-PBE geometry in the Materials Project; a wavelength of 1.5418 Å).
Kinematic intensities with the Lorentz-polarization factor, no thermal factor.

Atomic structure:
```
data_AgCO2
_chemical_formula_sum 'Ag4 C4 O8'
_symmetry_space_group_name_H-M 'P 1 21/c 1'
_symmetry_Int_Tables_number 14
_symmetry_space_group_name_Hall '-P 2ybc'
_cell_length_a 4.010
_cell_length_b 5.946
_cell_length_c 9.977
_cell_angle_alpha 90.00
_cell_angle_beta 109.13
_cell_angle_gamma 90.00
loop_
_atom_site_label
_atom_site_type_symbol
_atom_site_fract_x
_atom_site_fract_y
_atom_site_fract_z
Ag1 Ag 0.145 0.007 0.151
C1 C 0.396 0.611 0.001
O1 O 0.174 0.673 0.884
O2 O 0.466 0.710 0.120
```

Main lines, sorted by position (2θ from 5° to 70°):
17.64°, rel. 38
26.87°, rel. 100
30.06°, rel. 19
32.22°, rel. 48
34.91°, rel. 17
37.77°, rel. 18



Record 3
Structure and computed X-ray powder pattern of K2TaHgF6 (the GGA-PBE geometry in the Materials Project; a wavelength of 1.5418 Å).
Kinematic intensities with the Lorentz-polarization factor, no thermal factor.

Atomic structure:
```
data_K2TaHgF6
_chemical_formula_sum 'K8 Ta4 Hg4 F24'
_symmetry_space_group_name_H-M 'F m -3 m'
_symmetry_Int_Tables_number 225
_symmetry_space_group_name_Hall '-F 4 2 3'
_cell_length_a 9.893
_cell_length_b 9.893
_cell_length_c 9.893
_cell_angle_alpha 90.00
_cell_angle_beta 90.00
_cell_angle_gamma 90.00
loop_
_atom_site_label
_atom_site_type_symbol
_atom_site_fract_x
_atom_site_fract_y
_atom_site_fract_z
K1 K 0.250 0.250 0.250
Ta1 Ta 0.000 0.000 0.000
Hg1 Hg 0.000 0.000 0.500
F1 F 0.000 0.000 0.201
```

Main lines, sorted by position (2θ from 5° to 70°):
17.93°, rel. 70
25.47°, rel. 100
36.33°, rel. 32
40.79°, rel. 32
44.89°, rel. 39
59.06°, rel. 23



Record 4
Structure and computed X-ray powder pattern of MgSb2O4 (the GGA-PBE geometry in the Materials Project; a wavelength of 1.5418 Å).
Kinematic intensities with the Lorentz-polarization factor, no thermal factor.

Atomic structure:
```
data_MgSb2O4
_chemical_formula_sum 'Mg6 Sb12 O24'
_symmetry_space_group_name_H-M 'P 1'
_symmetry_Int_Tables_number 1
_symmetry_space_group_name_Hall 'P 1'
_cell_length_a 6.049
_cell_length_b 6.060
_cell_length_c 20.476
_cell_angle_alpha 89.71
_cell_angle_beta 85.80
_cell_angle_gamma 69.04
loop_
_atom_site_label
_atom_site_type_symbol
_atom_site_fract_x
_atom_site_fract_y
_atom_site_fract_z
Mg1 Mg 0.000 0.000 0.000
Mg2 Mg 0.021 0.079 0.427
Mg3 Mg 0.279 0.347 0.303
Mg4 Mg 0.371 0.384 0.077
Mg5 Mg 0.736 0.717 0.706
Mg6 Mg 0.907 0.089 0.662
Sb1 Sb 0.095 0.728 0.843
Sb2 Sb 0.290 0.916 0.189
Sb3 Sb 0.324 0.212 0.919
Sb4 Sb 0.370 0.323 0.695
Sb5 Sb 0.394 0.456 0.449
Sb6 Sb 0.452 0.043 0.557
Sb7 Sb 0.616 0.726 0.333
Sb8 Sb 0.642 0.626 0.957
Sb9 Sb 0.750 0.316 0.810
Sb10 Sb 0.793 0.824 0.114
Sb11 Sb 0.823 0.378 0.202
Sb12 Sb 0.940 0.624 0.559
O1 O 0.005 0.741 0.643
O2 O 0.029 0.019 0.787
O3 O 0.125 0.736 0.080
O4 O 0.199 0.155 0.637
O5 O 0.216 0.243 0.152
O6 O 0.236 0.282 0.400
O7 O 0.287 0.758 0.398
O8 O 0.351 0.959 0.983
O9 O 0.398 0.427 0.979
O10 O 0.416 0.002 0.272
O11 O 0.519 0.503 0.278
O12 O 0.582 0.042 0.738
O13 O 0.597 0.225 0.612
O14 O 0.600 0.733 0.601
O15 O 0.710 0.122 0.067
O16 O 0.712 0.616 0.049
O17 O 0.715 0.401 0.715
O18 O 0.718 0.340 0.408
O19 O 0.857 0.919 0.507
O20 O 0.888 0.851 0.923
O21 O 0.890 0.588 0.798
O22 O 0.950 0.037 0.227
O23 O 0.956 0.513 0.271
O24 O 0.976 0.294 0.939
```

Main lines, sorted by position (2θ from 5° to 70°):
18.53°, rel. 38
27.57°, rel. 100
28.46°, rel. 40
31.80°, rel. 40
32.36°, rel. 36
35.18°, rel. 47



Record 5
Structure and computed X-ray powder pattern of Ta2CrN3 (the GGA-PBE geometry in the Materials Project; a wavelength of 1.5418 Å).
Kinematic intensities with the Lorentz-polarization factor, no thermal factor.

Atomic structure:
```
data_Ta2CrN3
_chemical_formula_sum 'Ta4 Cr2 N6'
_symmetry_space_group_name_H-M 'I m m m'
_symmetry_Int_Tables_number 71
_symmetry_space_group_name_Hall '-I 2 2'
_cell_length_a 2.867
_cell_length_b 3.707
_cell_length_c 11.563
_cell_angle_alpha 90.00
_cell_angle_beta 90.00
_cell_angle_gamma 90.00
loop_
_atom_site_label
_atom_site_type_symbol
_atom_site_fract_x
_atom_site_fract_y
_atom_site_fract_z
Ta1 Ta 0.000 0.000 0.148
Cr1 Cr 0.000 0.000 0.500
N1 N 0.000 0.000 0.329
N2 N 0.000 0.500 0.500
```

Main lines, sorted by position (2θ from 5° to 70°):
25.23°, rel. 42
33.54°, rel. 100
39.16°, rel. 77
39.75°, rel. 93
51.20°, rel. 36
64.58°, rel. 35



Record 6
Structure and computed X-ray powder pattern of In4Te3N2 (the GGA-PBE geometry in the Materials Project; a wavelength of 1.5418 Å).
Kinematic intensities with the Lorentz-polarization factor, no thermal factor.

Atomic structure:
```
data_In4Te3N2
_chemical_formula_sum 'In16 Te12 N8'
_symmetry_space_group_name_H-M 'P n m a'
_symmetry_Int_Tables_number 62
_symmetry_space_group_name_Hall '-P 2ac 2n'
_cell_length_a 6.905
_cell_length_b 12.241
_cell_length_c 11.617
_cell_angle_alpha 90.00
_cell_angle_beta 90.00
_cell_angle_gamma 90.00
loop_
_atom_site_label
_atom_site_type_symbol
_atom_site_fract_x
_atom_site_fract_y
_atom_site_fract_z
In1 In 0.124 0.250 0.110
In2 In 0.135 0.024 0.894
In3 In 0.241 0.750 0.053
Te1 Te 0.018 0.250 0.348
Te2 Te 0.043 0.058 0.654
N1 N 0.029 0.624 0.984
```

Main lines, sorted by position (2θ from 5° to 70°):
23.10°, rel. 84
24.75°, rel. 65
29.18°, rel. 50
30.74°, rel. 100
34.90°, rel. 35
37.88°, rel. 38



Record 7
Structure and computed X-ray powder pattern of Ti3Sb (the GGA-PBE geometry in the Materials Project; a wavelength of 1.5418 Å).
Kinematic intensities with the Lorentz-polarization factor, no thermal factor.

Atomic structure:
```
data_Ti3Sb
_chemical_formula_sum 'Ti6 Sb2'
_symmetry_space_group_name_H-M 'P m -3 n'
_symmetry_Int_Tables_number 223
_symmetry_space_group_name_Hall '-P 4n 2 3'
_cell_length_a 5.217
_cell_length_b 5.217
_cell_length_c 5.217
_cell_angle_alpha 90.00
_cell_angle_beta 90.00
_cell_angle_gamma 90.00
loop_
_atom_site_label
_atom_site_type_symbol
_atom_site_fract_x
_atom_site_fract_y
_atom_site_fract_z
Ti1 Ti 0.000 0.250 0.500
Sb1 Sb 0.000 0.000 0.000
```

Main lines, sorted by position (2θ from 5° to 70°):
24.12°, rel. 42
34.38°, rel. 46
38.59°, rel. 41
42.44°, rel. 100
55.71°, rel. 9
67.13°, rel. 48



Record 8
Structure and computed X-ray powder pattern of Cs2AsBrCl6 (the GGA-PBE geometry in the Materials Project; a wavelength of 1.5418 Å).
Kinematic intensities with the Lorentz-polarization factor, no thermal factor.

Atomic structure:
```
data_Cs2AsBrCl6
_chemical_formula_sum 'Cs8 As4 Br4 Cl24'
_symmetry_space_group_name_H-M 'F m -3 m'
_symmetry_Int_Tables_number 225
_symmetry_space_group_name_Hall '-F 4 2 3'
_cell_length_a 11.032
_cell_length_b 11.032
_cell_length_c 11.032
_cell_angle_alpha 90.00
_cell_angle_beta 90.00
_cell_angle_gamma 90.00
loop_
_atom_site_label
_atom_site_type_symbol
_atom_site_fract_x
_atom_site_fract_y
_atom_site_fract_z
Cs1 Cs 0.250 0.250 0.250
As1 As 0.000 0.000 0.000
Br1 Br 0.000 0.000 0.500
Cl1 Cl 0.000 0.000 0.214
```

Main lines, sorted by position (2θ from 5° to 70°):
22.80°, rel. 100
28.02°, rel. 28
32.46°, rel. 58
40.04°, rel. 40
46.57°, rel. 37
63.06°, rel. 27